Structure and computed powder X-ray diffraction pattern of Er2BeCuSi2 (a DFT-relaxed cell (GGA-PBE, OQMD); Cu Kα (λ = 1.5418 Å)).
Kinematic intensities with the Lorentz-polarization factor, no thermal factor.

Cell and atoms:
abc: 3.9502 3.9502 7.8720
angles: 90.00 90.00 120.00
Space group P-6m2 (No. 187)
Inequivalent atoms, fractional coordinates:
Er: 0.0000 0.0000 0.2499 (multiplicity 2)
Be: 0.3333 0.6667 0.0000 (multiplicity 1)
Cu: 0.6667 0.3333 0.5000 (multiplicity 1)
Si: 0.3333 0.6667 0.5000 (multiplicity 1)
Si: 0.6667 0.3333 0.0000 (multiplicity 1)

Principal peaks in the range 2θ = 10–80°, in order of falling intensity:
(1 0 2), 34.74°, intensity 1000
(1 0 0), 26.05°, intensity 470
(1 1 0), 45.95°, intensity 303
(2 0 2), 58.87°, intensity 217
(1 1 4), 67.14°, intensity 193
(2 1 2), 77.74°, intensity 193
(1 0 4), 53.73°, intensity 134
(0 0 2), 22.59°, intensity 114

***

Structure and computed powder X-ray diffraction pattern of BeGaCuHg (a DFT-relaxed cell (GGA-PBE, OQMD); Cu Kα (λ = 1.5418 Å)).
Kinematic intensities with the Lorentz-polarization factor, no thermal factor.

Cell and atoms:
abc: 6.2373 6.2373 6.2373
angles: 90.00 90.00 90.00
Space group F-43m (No. 216)
Inequivalent atoms, fractional coordinates:
Be: 0.0000 0.0000 0.0000 (multiplicity 4)
Ga: 0.0000 0.0000 0.5000 (multiplicity 4)
Cu: 0.2500 0.2500 0.7500 (multiplicity 4)
Hg: 0.2500 0.2500 0.2500 (multiplicity 4)

Principal peaks in the range 2θ = 10–80°, in order of falling intensity:
(2 2 0), 40.92°, intensity 1000
(1 1 1), 24.72°, intensity 431
(2 0 0), 28.62°, intensity 381
(4 2 2), 74.53°, intensity 336
(3 1 1), 48.40°, intensity 228
(4 0 0), 59.26°, intensity 166
(4 2 0), 67.11°, intensity 139
(2 2 2), 50.70°, intensity 108

***

Structure and computed powder X-ray diffraction pattern of BeCu2Ge (a DFT-relaxed cell (GGA-PBE, OQMD); Cu Kα (λ = 1.5418 Å)).
Kinematic intensities with the Lorentz-polarization factor, no thermal factor.

Cell and atoms:
abc: 5.8122 5.8122 5.8122
angles: 90.00 90.00 90.00
Space group Pm-3m (No. 221)
Inequivalent atoms, fractional coordinates:
Be: 0.0000 0.0000 0.0000 (multiplicity 1)
Be: 0.0000 0.0000 0.5000 (multiplicity 3)
Cu: 0.2269 0.2269 0.2269 (multiplicity 8)
Ge: 0.0000 0.5000 0.5000 (multiplicity 3)
Ge: 0.5000 0.5000 0.5000 (multiplicity 1)

Principal peaks in the range 2θ = 10–80°, in order of falling intensity:
(2 2 0), 44.07°, intensity 1000
(2 1 0), 34.51°, intensity 269
(4 0 0), 64.09°, intensity 138
(3 2 2), 66.31°, intensity 104
(3 0 0), 46.90°, intensity 94
(2 0 0), 30.77°, intensity 84
(1 1 1), 26.56°, intensity 74
(4 2 1), 74.86°, intensity 46

***

Structure and computed powder X-ray diffraction pattern of BeIn2Cu (a DFT-relaxed cell (GGA-PBE, OQMD); Cu Kα (λ = 1.5418 Å)).
Kinematic intensities with the Lorentz-polarization factor, no thermal factor.

Cell and atoms:
abc: 6.6579 6.6579 6.6579
angles: 90.00 90.00 90.00
Space group F-43m (No. 216)
Inequivalent atoms, fractional coordinates:
Be: 0.0000 0.0000 0.0000 (multiplicity 4)
In: 0.0000 0.0000 0.5000 (multiplicity 4)
In: 0.2500 0.2500 0.7500 (multiplicity 4)
Cu: 0.2500 0.2500 0.2500 (multiplicity 4)

Principal peaks in the range 2θ = 10–80°, in order of falling intensity:
(2 2 0), 38.23°, intensity 1000
(1 1 1), 23.14°, intensity 370
(4 2 2), 69.12°, intensity 327
(3 1 1), 45.17°, intensity 189
(4 0 0), 55.18°, intensity 165
(3 3 1), 60.63°, intensity 77
(5 1 1), 73.98°, intensity 56
(2 0 0), 26.78°, intensity 53

***

Copy entry 1 word for word.
Structure and computed powder X-ray diffraction pattern of Er2BeCuSi2 (a DFT-relaxed cell (GGA-PBE, OQMD); Cu Kα (λ = 1.5418 Å)).
Kinematic intensities with the Lorentz-polarization factor, no thermal factor.

Cell and atoms:
abc: 3.9502 3.9502 7.8720
angles: 90.00 90.00 120.00
Space group P-6m2 (No. 187)
Inequivalent atoms, fractional coordinates:
Er: 0.0000 0.0000 0.2499 (multiplicity 2)
Be: 0.3333 0.6667 0.0000 (multiplicity 1)
Cu: 0.6667 0.3333 0.5000 (multiplicity 1)
Si: 0.3333 0.6667 0.5000 (multiplicity 1)
Si: 0.6667 0.3333 0.0000 (multiplicity 1)

Principal peaks in the range 2θ = 10–80°, in order of falling intensity:
(1 0 2), 34.74°, intensity 1000
(1 0 0), 26.05°, intensity 470
(1 1 0), 45.95°, intensity 303
(2 0 2), 58.87°, intensity 217
(1 1 4), 67.14°, intensity 193
(2 1 2), 77.74°, intensity 193
(1 0 4), 53.73°, intensity 134
(0 0 2), 22.59°, intensity 114